For U2Co3Ge, DFT lattice parameters and positions (GGA-PBE) gives the computed powder X-ray diffraction pattern in this record (Cu Kα (λ = 1.5418 Å)).
Peak positions follow from Bragg's law for the DFT cell and can differ from measured ones.

Principal peaks in the range 10 to 90 degrees two-theta, sorted by position:
(1 1 0), 2θ = 19.8°, intensity 24; (0 2 1), 2θ = 23.0°, intensity 28; (2 0 0), 2θ = 34.6°, intensity 88; (0 2 3), 2θ = 40.9°, intensity 100; (2 2 1), 2θ = 42.0°, intensity 52; (2 0 2), 2θ = 42.2°, intensity 82; (1 5 3), 2θ = 66.3°, intensity 48; (3 3 2), 2θ = 67.3°, intensity 21; (4 0 0), 2θ = 73.0°, intensity 24; (3 5 3), 2θ = 87.3°, intensity 25

Crystal structure
```
data_U2Co3Ge
_chemical_formula_sum 'U8 Co12 Ge4'
_space_group_name_H-M_alt 'C m c m'
_space_group_IT_number 63
_space_group_name_Hall '-C 2c 2'
_cell_length_a 5.1804
_cell_length_b 8.9833
_cell_length_c 7.5933
_cell_angle_alpha 90.00
_cell_angle_beta 90.00
_cell_angle_gamma 90.00
loop_
_atom_site_label
_atom_site_fract_x
_atom_site_fract_y
_atom_site_fract_z
U1 0.0000 0.1659 0.0721
Co1 0.0000 0.3293 0.7500
Co2 0.2439 0.0852 0.7500
Ge1 0.0000 0.5000 0.0000
```